# 1
Theoretical powder diffraction line list of Pm4GeI5 for Cu Ka, from a crystal structure in Alexandria, relaxed with GGA-PBE.
No peak broadening, texture or thermal motion is included.

Crystal structure
```
data_Pm4GeI5
_chemical_formula_sum 'Pm8 Ge2 I10'
_symmetry_space_group_name_H-M 'C 1 2/m 1'
_symmetry_Int_Tables_number 12
_symmetry_space_group_name_Hall '-C 2y'
_cell_length_a 19.491
_cell_length_b 4.300
_cell_length_c 9.044
_cell_angle_alpha 90.00
_cell_angle_beta 102.60
_cell_angle_gamma 90.00
loop_
_atom_site_label
_atom_site_fract_x
_atom_site_fract_y
_atom_site_fract_z
_atom_site_occupancy
Pm1 0.000 0.000 0.215 1
Pm2 0.148 0.500 0.074 1
Ge1 0.000 0.500 0.000 1
I1 0.000 0.500 0.500 1
I2 0.166 0.000 0.336 1
I3 0.171 0.000 0.825 1
```

The 12 most intense peaks (2θ = 5–70°), by angle:
- d 8.826, 2θ = 10.02°, I 24, (0 0 1)
- d 3.450, 2θ = 25.82°, I 10, (3 1 -1)
- d 3.170, 2θ = 28.15°, I 60, (6 0 0)
- d 3.116, 2θ = 28.65°, I 100, (1 1 -2)
- d 2.850, 2θ = 31.39°, I 11, (5 1 0)
- d 2.261, 2θ = 39.88°, I 18, (2 0 -4)
- d 2.233, 2θ = 40.39°, I 35, (5 1 2)
- d 2.211, 2θ = 40.80°, I 34, (7 1 -2)
- d 2.150, 2θ = 42.02°, I 18, (0 2 0)
- d 1.853, 2θ = 49.16°, I 9, (4 0 4)
- d 1.780, 2θ = 51.34°, I 19, (6 2 0)
- d 1.558, 2θ = 59.32°, I 11, (2 2 -4)

# 2
Theoretical powder diffraction line list of RbPmGe2I8 for Cu Ka, from a crystal structure in Alexandria, relaxed with GGA-PBE.
No peak broadening, texture or thermal motion is included.

Crystal structure
```
data_RbPmGe2I8
_chemical_formula_sum 'Rb1 Pm1 Ge2 I8'
_symmetry_space_group_name_H-M 'P -1'
_symmetry_Int_Tables_number 2
_symmetry_space_group_name_Hall '-P 1'
_cell_length_a 7.423
_cell_length_b 7.856
_cell_length_c 10.028
_cell_angle_alpha 82.93
_cell_angle_beta 83.67
_cell_angle_gamma 83.83
loop_
_atom_site_label
_atom_site_fract_x
_atom_site_fract_y
_atom_site_fract_z
_atom_site_occupancy
Rb1 0.000 0.000 0.000 1
Pm1 0.000 0.000 0.500 1
Ge1 0.446 0.463 0.239 1
I1 0.227 0.322 0.467 1
I2 0.255 0.832 0.716 1
I3 0.262 0.831 0.278 1
I4 0.274 0.372 0.037 1
```

The 12 most intense peaks (2θ = 5–70°), by angle:
- d 5.608, 2θ = 15.80°, I 26, (1 1 0)
- d 4.038, 2θ = 22.01°, I 26, (1 1 2)
- d 3.672, 2θ = 24.24°, I 24, (2 0 0)
- d 3.569, 2θ = 24.95°, I 100, (1 2 0)
- d 3.541, 2θ = 25.15°, I 44, (1 -1 2)
- d 3.453, 2θ = 25.80°, I 27, (1 1 -2)
- d 3.303, 2θ = 26.99°, I 31, (1 -2 0)
- d 3.040, 2θ = 29.38°, I 21, (2 1 2)
- d 2.658, 2θ = 33.72°, I 22, (2 1 -2)
- d 2.476, 2θ = 36.29°, I 25, (0 0 4)
- d 2.407, 2θ = 37.36°, I 28, (0 3 2)
- d 2.194, 2θ = 41.14°, I 30, (0 3 -2)

# 3
Theoretical powder diffraction line list of Pm6Ge2Te3I for Cu Ka, from a crystal structure in Alexandria, relaxed with GGA-PBE.
No peak broadening, texture or thermal motion is included.

Crystal structure
```
data_Pm6Ge2Te3I
_chemical_formula_sum 'Pm12 Ge4 Te6 I2'
_symmetry_space_group_name_H-M 'C 1 2/m 1'
_symmetry_Int_Tables_number 12
_symmetry_space_group_name_Hall '-C 2y'
_cell_length_a 19.298
_cell_length_b 4.371
_cell_length_c 8.947
_cell_angle_alpha 90.00
_cell_angle_beta 102.84
_cell_angle_gamma 90.00
loop_
_atom_site_label
_atom_site_fract_x
_atom_site_fract_y
_atom_site_fract_z
_atom_site_occupancy
Pm1 0.017 0.000 0.274 1
Pm2 0.173 0.500 0.570 1
Pm3 0.177 0.500 0.119 1
Ge1 0.170 0.000 0.336 1
Te1 0.000 0.500 0.500 1
Te2 0.158 0.000 0.837 1
I1 0.000 0.500 0.000 1
```

The 12 most intense peaks (2θ = 5–70°), by angle:
- d 3.129, 2θ = 28.52°, I 100, (1 1 -2)
- d 2.237, 2θ = 40.33°, I 12, (2 0 -4)
- d 2.222, 2θ = 40.61°, I 21, (5 1 2)
- d 2.206, 2θ = 40.90°, I 24, (7 1 -2)
- d 2.185, 2θ = 41.31°, I 13, (0 2 0)
- d 1.829, 2θ = 49.85°, I 5, (4 0 4)
- d 1.813, 2θ = 50.34°, I 6, (8 0 -4)
- d 1.793, 2θ = 50.93°, I 13, (6 2 0)
- d 1.563, 2θ = 59.10°, I 8, (2 2 -4)
- d 1.403, 2θ = 66.67°, I 4, (4 2 4)
- d 1.395, 2θ = 67.09°, I 5, (8 2 -4)
- d 1.385, 2θ = 67.63°, I 6, (1 3 -2)

# 4
Theoretical powder diffraction line list of Pm8ZnGe3I4 for Cu Ka, from a crystal structure in Alexandria, relaxed with GGA-PBE.
No peak broadening, texture or thermal motion is included.

Crystal structure
```
data_Pm8ZnGe3I4
_chemical_formula_sum 'Pm24 Zn3 Ge9 I12'
_symmetry_space_group_name_H-M 'R -3 m'
_symmetry_Int_Tables_number 166
_symmetry_space_group_name_Hall '-R 3 2"'
_cell_length_a 8.6777
_cell_length_b 8.6777
_cell_length_c 22.6268
_cell_angle_alpha 90.00
_cell_angle_beta 90.00
_cell_angle_gamma 120.00
loop_
_atom_site_label
_atom_site_fract_x
_atom_site_fract_y
_atom_site_fract_z
_atom_site_occupancy
Pm1 0.0000 0.0000 0.2335 1
Pm2 0.0003 0.5001 0.2347 1
Zn1 0.0000 0.0000 0.5000 1
Ge1 0.0000 0.5000 0.5000 1
I1 0.0000 0.0000 0.0000 1
I2 0.0000 0.5000 0.0000 1
```

The 12 most intense peaks (2θ = 5–70°), by angle:
- d 3.566, 2θ = 24.97°, I 5, (2 0 2)
- d 3.130, 2θ = 28.52°, I 100, (0 2 4)
- d 2.891, 2θ = 30.93°, I 13, (2 0 5)
- d 2.514, 2θ = 35.71°, I 6, (0 0 9)
- d 2.260, 2θ = 39.89°, I 30, (2 0 8)
- d 2.169, 2θ = 41.63°, I 39, (2 2 0)
- d 1.783, 2θ = 51.24°, I 20, (4 0 4)
- d 1.642, 2θ = 55.99°, I 10, (2 2 9)
- d 1.579, 2θ = 58.44°, I 7, (0 2 13)
- d 1.565, 2θ = 59.02°, I 9, (0 4 8)
- d 1.423, 2θ = 65.60°, I 8, (2 2 12)
- d 1.377, 2θ = 68.07°, I 17, (2 4 4)

# 5
Theoretical powder diffraction line list of Pr2Ge2I for Cu Ka, from a crystal structure in Alexandria, relaxed with GGA-PBE.
No peak broadening, texture or thermal motion is included.

Crystal structure
```
data_Pr2Ge2I
_chemical_formula_sum 'Pr8 Ge8 I4'
_symmetry_space_group_name_H-M 'I m m a'
_symmetry_Int_Tables_number 74
_symmetry_space_group_name_Hall '-I 2b 2'
_cell_length_a 8.394
_cell_length_b 17.604
_cell_length_c 4.061
_cell_angle_alpha 90.00
_cell_angle_beta 90.00
_cell_angle_gamma 90.00
loop_
_atom_site_label
_atom_site_fract_x
_atom_site_fract_y
_atom_site_fract_z
_atom_site_occupancy
Pr1 0.250 0.098 0.250 1
Ge1 0.000 0.047 0.750 1
I1 0.000 0.250 0.240 1
```

The 12 most intense peaks (2θ = 5–70°), by angle:
- d 8.802, 2θ = 10.05°, I 16, (0 2 0)
- d 3.957, 2θ = 22.47°, I 33, (0 1 1)
- d 3.037, 2θ = 29.41°, I 46, (2 4 0)
- d 2.934, 2θ = 30.47°, I 20, (0 6 0)
- d 2.613, 2θ = 34.32°, I 100, (2 3 1)
- d 2.138, 2θ = 42.27°, I 28, (0 7 1)
- d 2.098, 2θ = 43.11°, I 16, (4 0 0)
- d 2.031, 2θ = 44.63°, I 14, (0 0 2)
- d 1.688, 2θ = 54.35°, I 16, (2 4 2)
- d 1.624, 2θ = 56.69°, I 19, (2 10 0)
- d 1.498, 2θ = 61.96°, I 18, (4 7 1)
- d 1.459, 2θ = 63.78°, I 10, (4 0 2)

# 6
Theoretical powder diffraction line list of Pr4GePtI2 for Cu Ka, from a crystal structure in Alexandria, relaxed with GGA-PBE.
No peak broadening, texture or thermal motion is included.

Crystal structure
```
data_Pr4GePtI2
_chemical_formula_sum 'Pr4 Ge1 Pt1 I2'
_symmetry_space_group_name_H-M 'P 1 2/m 1'
_symmetry_Int_Tables_number 10
_symmetry_space_group_name_Hall '-P 2y'
_cell_length_a 7.832
_cell_length_b 4.267
_cell_length_c 8.163
_cell_angle_alpha 90.00
_cell_angle_beta 107.11
_cell_angle_gamma 90.00
loop_
_atom_site_label
_atom_site_fract_x
_atom_site_fract_y
_atom_site_fract_z
_atom_site_occupancy
Pr1 0.218 0.000 0.189 1
Pr2 0.266 0.500 0.798 1
Ge1 0.500 0.000 0.000 1
Pt1 0.000 0.500 0.000 1
I1 0.000 0.000 0.500 1
I2 0.500 0.500 0.500 1
```

The 12 most intense peaks (2θ = 5–70°), by angle:
- d 7.802, 2θ = 11.34°, I 16, (0 0 1)
- d 3.214, 2θ = 27.76°, I 54, (2 0 -2)
- d 3.174, 2θ = 28.12°, I 100, (1 1 1)
- d 2.510, 2θ = 35.77°, I 14, (1 1 2)
- d 2.374, 2θ = 37.89°, I 15, (2 0 2)
- d 2.292, 2θ = 39.31°, I 30, (1 1 -3)
- d 2.226, 2θ = 40.52°, I 42, (3 1 -1)
- d 2.133, 2θ = 42.37°, I 19, (0 2 0)
- d 1.871, 2θ = 48.65°, I 10, (4 0 0)
- d 1.777, 2θ = 51.41°, I 21, (2 2 -2)
- d 1.587, 2θ = 58.13°, I 9, (2 2 2)
- d 1.417, 2θ = 65.90°, I 10, (5 1 -3)